For MgTi4S8, a PBE-relaxed structure gives the theoretical X-ray diffraction stick pattern in this record (CuKα).

Principal peaks in the range 2θ = 15–90°, in order of rising 2θ:
2theta, intensity
15.13, 66
29.20, 44
30.53, 7
35.40, 100
46.52, 28
50.93, 77
53.44, 10
63.55, 19
65.75, 8
71.44, 8
74.90, 10
85.66, 22

Crystal structure
```
MgTi4S8
1.0
0.000 5.072 5.072
5.072 0.000 5.072
5.072 5.072 0.000
Mg Ti S
1 4 8
Direct
0.000 0.000 0.000
0.149 0.617 0.617
0.617 0.149 0.617
0.617 0.617 0.149
0.617 0.617 0.617
0.379 0.379 0.379
0.379 0.379 0.862
0.379 0.862 0.379
0.408 0.864 0.864
0.862 0.379 0.379
0.864 0.408 0.864
0.864 0.864 0.408
0.864 0.864 0.864
```